# ThMg5
Simulated powder diffraction line list, Cu Kα X-rays. Input: a crystal structure in OQMD, relaxed with PBE.

```
ThMg5
1.0
5.8774 0.0000 0.0000
-2.9387 5.0900 0.0000
0.0000 0.0000 5.0222
Th Mg
1 5
Direct
0.0000 0.0000 0.0000
0.0000 0.5920 0.5000
0.3333 0.6667 0.0000
0.4080 0.4080 0.5000
0.5920 0.0000 0.5000
0.6667 0.3333 0.0000
```

The 10 most intense peaks (2θ = 15–90°), most intense first:
| hkl | 2theta | I/Imax |
| --- | --- | --- |
| 1 0 1 | 24.9 | 100 |
| 1 1 1 | 35.4 | 87 |
| 1 0 0 | 17.4 | 78 |
| 1 1 0 | 30.4 | 41 |
| 0 0 1 | 17.7 | 31 |
| 2 1 1 | 50.8 | 28 |
| 2 0 0 | 35.3 | 27 |
| 1 1 2 | 47.6 | 24 |
| 1 0 2 | 40.0 | 21 |
| 2 0 2 | 51.1 | 19 |